1.
For YErZn2Si2, a structure optimized by DFT (GGA-PBE) gives the calculated powder X-ray diffraction pattern in this record (Cu Kα).

Cell and atoms:
a b c (Å): 4.1326 4.1326 15.7586
angles (deg): 90.00 90.00 120.00
Space group P6_3/mmc (No. 194)
Inequivalent atoms, fractional coordinates:
Y 0.0000 0.0000 0.2500 (multiplicity 2)
Er 0.0000 0.0000 0.0000 (multiplicity 2)
Zn 0.3333 0.6667 0.1339 (multiplicity 4)
Si 0.3333 0.6667 0.6177 (multiplicity 4)

Largest 8 diffraction maxima, in order of rising 2θ, 10° ≤ 2θ ≤ 90°:
- 2θ 24.9, I = 21, (1 0 0)
- 2θ 27.4, I = 9, (1 0 2)
- 2θ 33.8, I = 100, (1 0 4)
- 2θ 43.8, I = 40, (1 1 0)
- 2θ 46.1, I = 11, (0 0 8)
- 2θ 56.5, I = 23, (2 0 4)
- 2θ 65.5, I = 22, (1 1 8)
- 2θ 74.1, I = 20, (2 1 4)


2.
For SmErTe2, a structure optimized by DFT (GGA-PBE) gives the calculated powder X-ray diffraction pattern in this record (Cu Kα).

Cell and atoms:
a b c (Å): 4.2076 4.2076 7.7930
angles (deg): 90.00 90.00 120.00
Space group P-3m1 (No. 164)
Inequivalent atoms, fractional coordinates:
Sm 0.0000 0.0000 0.0000 (multiplicity 1)
Er 0.0000 0.0000 0.5000 (multiplicity 1)
Te 0.3333 0.6667 0.2601 (multiplicity 2)

Largest 8 diffraction maxima, in order of rising 2θ, 10° ≤ 2θ ≤ 90°:
- 2θ 24.4, I = 21, (1 0 0)
- 2θ 27.0, I = 43, (1 0 1)
- 2θ 33.7, I = 100, (1 0 2)
- 2θ 42.7, I = 12, (0 1 3)
- 2θ 43.0, I = 42, (1 1 0)
- 2θ 55.7, I = 24, (0 2 2)
- 2θ 65.3, I = 23, (1 1 4)
- 2θ 72.8, I = 21, (2 1 2)


3.
For ErSn, a structure optimized by DFT (GGA-PBE) gives the calculated powder X-ray diffraction pattern in this record (Cu Kα).

Cell and atoms:
a b c (Å): 3.5433 3.5433 4.9701
angles (deg): 90.00 90.00 120.00
Space group P-6m2 (No. 187)
Inequivalent atoms, fractional coordinates:
Er 0.0000 0.0000 0.0000 (multiplicity 1)
Sn 0.6667 0.3333 0.5000 (multiplicity 1)

Largest 8 diffraction maxima, in order of rising 2θ, 10° ≤ 2θ ≤ 90°:
- 2θ 29.1, I = 27, (1 0 0)
- 2θ 34.3, I = 100, (1 0 1)
- 2θ 36.1, I = 19, (0 0 2)
- 2θ 51.6, I = 21, (1 1 0)
- 2θ 63.5, I = 17, (2 0 1)
- 2θ 63.9, I = 17, (1 0 3)
- 2θ 64.6, I = 22, (1 1 2)
- 2θ 86.1, I = 16, (2 1 1)